The following is a computed PXRD pattern of K3NaCr2O8. It was derived from a cell relaxed with GGA+U, using CuKα.
Intensities are scaled so that the largest is 100.

Top 8 peaks for 2θ from 10° to 90°, low angle first:
2θ = 17.21°, I 12
2θ = 20.75°, I 23
2θ = 20.82°, I 15
2θ = 23.26°, I 19
2θ = 29.01°, I 25
2θ = 29.12°, I 37
2θ = 30.03°, I 100
2θ = 42.30°, I 45

Cell and atoms:
a b c (Å): 10.3272 5.9377 15.2987
angles (deg): 90.00 90.24 90.00
Space group C2/c (No. 15)
One atom of each set of equivalent atoms:
K1 0.0000 0.0575 0.2500 (multiplicity 4)
K2 0.1710 0.4788 0.5898 (multiplicity 8)
Na1 0.0000 0.0000 0.0000 (multiplicity 4)
Cr1 0.1624 0.4816 0.8665 (multiplicity 8)
O1 0.0840 0.3131 0.4195 (multiplicity 8)
O2 0.0854 0.2376 0.8828 (multiplicity 8)
O3 0.1679 0.4545 0.2615 (multiplicity 8)
O4 0.1876 0.0360 0.0922 (multiplicity 8)